The following is a calculated X-ray diffraction stick pattern of Nd2AlInI2. It was derived from a DFT-relaxed cell (GGA-PBE, OQMD), using copper Kα.
Lines closer than 0.1° are merged.

Main lines, most intense first (2θ from 15° to 90°):
2θ = 31.53°, 2.838 Å, I 100; 2θ = 27.07°, 3.294 Å, I 55; 2θ = 40.29°, 2.239 Å, I 51; 2θ = 24.03°, 3.703 Å, I 43; 2θ = 60.75°, 1.525 Å, I 25; 2θ = 52.04°, 1.757 Å, I 24; 2θ = 43.07°, 2.100 Å, I 22; 2θ = 67.79°, 1.382 Å, I 22; 2θ = 43.46°, 2.082 Å, I 11; 2θ = 49.21°, 1.852 Å, I 10; 2θ = 89.19°, 1.098 Å, I 9; 2θ = 65.41°, 1.427 Å, I 9

Structure:
```
data_Nd2AlInI2
_space_group_name_H-M_alt 'P 1'
_space_group_IT_number 1
_cell_length_a 4.477
_cell_length_b 4.477
_cell_length_c 12.492
_cell_angle_alpha 90.00
_cell_angle_beta 90.00
_cell_angle_gamma 120.00
loop_
_space_group_symop_operation_xyz
'x,y,z'
loop_
_atom_site_label
_atom_site_fract_x
_atom_site_fract_y
_atom_site_fract_z
_atom_site_occupancy
Nd1 0.000 0.000 0.000 1
Nd2 0.000 0.000 0.350 1
Al1 0.667 0.333 0.202 1
In1 0.333 0.667 0.153 1
I1 0.333 0.667 0.508 1
I2 0.667 0.333 0.842 1
```



The following is a calculated X-ray diffraction stick pattern of LaPrAl2I2. It was derived from a DFT-relaxed cell (GGA-PBE, OQMD), using copper Kα.
Lines closer than 0.1° are merged.

Main lines, most intense first (2θ from 15° to 90°):
2θ = 31.63°, 2.828 Å, I 100; 2θ = 24.31°, 3.662 Å, I 66; 2θ = 40.84°, 2.209 Å, I 46; 2θ = 27.27°, 3.271 Å, I 44; 2θ = 60.85°, 1.522 Å, I 34; 2θ = 52.56°, 1.741 Å, I 24; 2θ = 68.63°, 1.368 Å, I 21; 2θ = 42.98°, 2.104 Å, I 21; 2θ = 43.09°, 2.099 Å, I 12; 2θ = 71.82°, 1.314 Å, I 11; 2θ = 43.40°, 2.085 Å, I 11; 2θ = 36.97°, 2.432 Å, I 11

Structure:
```
data_LaPrAl2I2
_space_group_name_H-M_alt 'P 1'
_space_group_IT_number 1
_cell_length_a 4.419
_cell_length_b 4.419
_cell_length_c 12.596
_cell_angle_alpha 90.00
_cell_angle_beta 90.00
_cell_angle_gamma 120.00
loop_
_space_group_symop_operation_xyz
'x,y,z'
loop_
_atom_site_label
_atom_site_fract_x
_atom_site_fract_y
_atom_site_fract_z
_atom_site_occupancy
La1 0.000 0.000 0.000 1
Pr1 0.000 0.000 0.655 1
Al1 0.333 0.667 0.841 1
Al2 0.667 0.333 0.814 1
I1 0.333 0.667 0.492 1
I2 0.667 0.333 0.164 1
```



The following is a calculated X-ray diffraction stick pattern of LaTbAl2I2. It was derived from a DFT-relaxed cell (GGA-PBE, OQMD), using copper Kα.
Lines closer than 0.1° are merged.

Main lines, most intense first (2θ from 15° to 90°):
2θ = 32.13°, 2.786 Å, I 100; 2θ = 24.61°, 3.618 Å, I 65; 2θ = 41.33°, 2.185 Å, I 46; 2θ = 27.65°, 3.226 Å, I 43; 2θ = 61.94°, 1.498 Å, I 25; 2θ = 53.29°, 1.719 Å, I 24; 2θ = 43.98°, 2.059 Å, I 23; 2θ = 69.59°, 1.351 Å, I 21; 2θ = 43.77°, 2.068 Å, I 20; 2θ = 50.46°, 1.809 Å, I 11; 2θ = 37.60°, 2.392 Å, I 11; 2θ = 23.51°, 3.784 Å, I 11

Structure:
```
data_LaTbAl2I2
_space_group_name_H-M_alt 'P 1'
_space_group_IT_number 1
_cell_length_a 4.369
_cell_length_b 4.369
_cell_length_c 12.350
_cell_angle_alpha 90.00
_cell_angle_beta 90.00
_cell_angle_gamma 120.00
loop_
_space_group_symop_operation_xyz
'x,y,z'
loop_
_atom_site_label
_atom_site_fract_x
_atom_site_fract_y
_atom_site_fract_z
_atom_site_occupancy
La1 0.000 0.000 0.000 1
Tb1 0.000 0.000 0.344 1
Al1 0.333 0.667 0.191 1
Al2 0.667 0.333 0.163 1
I1 0.333 0.667 0.829 1
I2 0.667 0.333 0.500 1
```



The following is a calculated X-ray diffraction stick pattern of AlMoI6. It was derived from a DFT-relaxed cell (GGA-PBE, OQMD), using copper Kα.
Lines closer than 0.1° are merged.

Main lines, most intense first (2θ from 15° to 90°):
2θ = 27.90°, 3.198 Å, I 100; 2θ = 32.32°, 2.769 Å, I 84; 2θ = 16.00°, 5.539 Å, I 64; 2θ = 46.37°, 1.958 Å, I 61; 2θ = 54.98°, 1.670 Å, I 44; 2θ = 36.27°, 2.477 Å, I 33; 2θ = 76.99°, 1.239 Å, I 27; 2θ = 57.65°, 1.599 Å, I 21; 2θ = 85.98°, 1.131 Å, I 21; 2θ = 74.70°, 1.271 Å, I 18; 2θ = 49.36°, 1.846 Å, I 17; 2θ = 67.66°, 1.385 Å, I 10

Structure:
```
data_AlMoI6
_space_group_name_H-M_alt 'P 1'
_space_group_IT_number 1
_cell_length_a 7.833
_cell_length_b 7.833
_cell_length_c 7.833
_cell_angle_alpha 60.00
_cell_angle_beta 60.00
_cell_angle_gamma 60.00
loop_
_space_group_symop_operation_xyz
'x,y,z'
loop_
_atom_site_label
_atom_site_fract_x
_atom_site_fract_y
_atom_site_fract_z
_atom_site_occupancy
Al1 0.000 0.000 0.000 1
Mo1 0.250 0.250 0.250 1
I1 0.003 0.003 0.497 1
I2 0.003 0.497 0.003 1
I3 0.003 0.497 0.497 1
I4 0.497 0.003 0.003 1
I5 0.497 0.003 0.497 1
I6 0.497 0.497 0.003 1
```



The following is a calculated X-ray diffraction stick pattern of Pr2NdAlI3. It was derived from a DFT-relaxed cell (GGA-PBE, OQMD), using copper Kα.
Lines closer than 0.1° are merged.

Main lines, most intense first (2θ from 15° to 90°):
2θ = 28.22°, 3.162 Å, I 100; 2θ = 40.33°, 2.236 Å, I 76; 2θ = 19.85°, 4.472 Å, I 40; 2θ = 66.07°, 1.414 Å, I 35; 2θ = 49.95°, 1.826 Å, I 27; 2θ = 73.33°, 1.291 Å, I 26; 2θ = 34.74°, 2.582 Å, I 19; 2θ = 58.36°, 1.581 Å, I 13; 2θ = 54.27°, 1.690 Å, I 11; 2θ = 45.34°, 2.000 Å, I 9; 2θ = 87.18°, 1.118 Å, I 8; 2θ = 76.86°, 1.240 Å, I 6

Structure:
```
data_Pr2NdAlI3
_space_group_name_H-M_alt 'P 1'
_space_group_IT_number 1
_cell_length_a 6.323
_cell_length_b 6.323
_cell_length_c 6.329
_cell_angle_alpha 90.00
_cell_angle_beta 90.00
_cell_angle_gamma 90.00
loop_
_space_group_symop_operation_xyz
'x,y,z'
loop_
_atom_site_label
_atom_site_fract_x
_atom_site_fract_y
_atom_site_fract_z
_atom_site_occupancy
Pr1 0.000 0.500 0.000 1
Pr2 0.500 0.000 0.000 1
Nd1 0.000 0.000 0.500 1
Al1 0.000 0.000 0.000 1
I1 0.000 0.500 0.500 1
I2 0.500 0.000 0.500 1
I3 0.500 0.500 0.000 1
```



The following is a calculated X-ray diffraction stick pattern of AlNiI7. It was derived from a DFT-relaxed cell (GGA-PBE, OQMD), using copper Kα.
Lines closer than 0.1° are merged.

Main lines, most intense first (2θ from 15° to 90°):
2θ = 26.68°, 3.341 Å, I 100; 2θ = 22.66°, 3.924 Å, I 79; 2θ = 26.04°, 3.422 Å, I 64; 2θ = 27.82°, 3.207 Å, I 56; 2θ = 15.04°, 5.891 Å, I 48; 2θ = 31.53°, 2.838 Å, I 45; 2θ = 23.64°, 3.764 Å, I 42; 2θ = 46.73°, 1.944 Å, I 39; 2θ = 26.88°, 3.317 Å, I 37; 2θ = 25.41°, 3.505 Å, I 36; 2θ = 48.56°, 1.875 Å, I 35; 2θ = 35.70°, 2.515 Å, I 33

Structure:
```
data_AlNiI7
_space_group_name_H-M_alt 'P 1'
_space_group_IT_number 1
_cell_length_a 7.213
_cell_length_b 7.017
_cell_length_c 15.918
_cell_angle_alpha 90.00
_cell_angle_beta 102.49
_cell_angle_gamma 90.00
loop_
_space_group_symop_operation_xyz
'x,y,z'
loop_
_atom_site_label
_atom_site_fract_x
_atom_site_fract_y
_atom_site_fract_z
_atom_site_occupancy
Al1 0.000 0.002 0.000 1
Al2 0.000 0.998 0.500 1
Ni1 0.289 0.355 0.151 1
Ni2 0.289 0.645 0.651 1
I1 0.216 0.432 0.763 1
I2 0.216 0.568 0.263 1
I3 0.331 0.158 0.011 1
I4 0.331 0.842 0.511 1
I5 0.514 0.178 0.276 1
I6 0.514 0.822 0.776 1
I7 0.542 0.420 0.628 1
I8 0.542 0.580 0.128 1
I9 0.772 0.153 0.868 1
I10 0.772 0.847 0.368 1
I11 0.956 0.351 0.489 1
I12 0.956 0.649 0.989 1
I13 0.971 0.155 0.145 1
I14 0.971 0.845 0.645 1
```